For Li2HoTl3, a PBE-relaxed structure gives the simulated XRD peak list in this record (Cu Kα, 1.54184 Å).

Top 10 peaks for 15° ≤ 2θ ≤ 90°, in order of rising 2θ:
2θ = 21.4°, d 4.153, I 18, hkl 1 0 1
2θ = 24.7°, d 3.607, I 77, hkl 0 1 2
2θ = 35.0°, d 2.562, I 100, hkl 1 0 4
2θ = 35.3°, d 2.539, I 99, hkl 1 1 0
2θ = 43.6°, d 2.077, I 18, hkl 2 0 2
2θ = 50.6°, d 1.804, I 37, hkl 0 2 4
2θ = 62.6°, d 1.484, I 16, hkl 0 1 8
2θ = 63.2°, d 1.470, I 40, hkl 2 1 4
2θ = 63.4°, d 1.466, I 19, hkl 3 0 0
2θ = 85.3°, d 1.138, I 18, hkl 1 3 4

Crystal structure
```
data_Li2HoTl3
_chemical_formula_sum 'Li4 Ho2 Tl6'
_cell_length_a 5.0789
_cell_length_b 5.0789
_cell_length_c 12.6092
_cell_angle_alpha 90.00
_cell_angle_beta 90.00
_cell_angle_gamma 120.00
_symmetry_space_group_name_H-M 'P -3 m 1'
_symmetry_Int_Tables_number 164
_symmetry_space_group_name_Hall '-P 3 2"'
loop_
_atom_site_label
_atom_site_type_symbol
_atom_site_fract_x
_atom_site_fract_y
_atom_site_fract_z
_atom_site_occupancy
Li1 Li 0.0000 0.0000 0.0000 1
Li2 Li 0.0000 0.0000 0.5000 1
Li3 Li 0.3333 0.6667 0.1669 1
Ho1 Ho 0.3333 0.6667 0.6671 1
Tl1 Tl 0.0000 0.0000 0.2354 1
Tl2 Tl 0.3333 0.6667 0.4166 1
Tl3 Tl 0.3333 0.6667 0.9259 1
```